Diffraction record for Rb2H4Pt. The powder diffraction line list is simulated, not measured: it uses a GGA-PBE-relaxed structure and Cu Ka.

Peak list (9 most intense, 5° ≤ 2θ ≤ 70°, low angle first)
(hkl)	2theta	Rel. int.
1 0 1	18.23	63
2 0 0	29.99	100
2 1 1	35.32	36
2 2 0	42.93	19
3 0 1	47.00	16
2 0 4	53.25	40
1 0 5	56.76	13
4 0 0	62.32	13
2 1 5	65.53	12

Cell and atoms:
Lattice parameters (Å, degrees): 5.963 5.963 8.418 90.00 90.00 90.00
Space group P4_2/mnm (No. 136)
One atom of each set of equivalent atoms:
Rb1 0.000 0.500 0.250 (multiplicity 4)
H1 0.000 0.000 0.198 (multiplicity 4)
H2 0.197 0.197 0.000 (multiplicity 4)
Pt1 0.000 0.000 0.000 (multiplicity 2)

***

Diffraction record for PuH3. The powder diffraction line list is simulated, not measured: it uses a GGA-PBE-relaxed structure and Cu Ka.

Peak list (10 most intense, 5° ≤ 2θ ≤ 70°, low angle first)
(hkl)	2theta	Rel. int.
0 0 2	26.66	32
1 0 0	27.67	22
1 0 1	30.79	100
1 0 2	38.80	18
1 1 0	48.94	20
1 0 3	49.72	28
0 0 4	54.91	5
1 1 2	56.59	25
2 0 1	58.94	17
1 0 4	62.58	5

Cell and atoms:
Lattice parameters (Å, degrees): 3.7225 3.7225 6.6881 90.00 90.00 120.00
Space group P6_3/mmc (No. 194)
One atom of each set of equivalent atoms:
Pu1 0.3333 0.6667 0.2500 (multiplicity 2)
H1 0.0000 0.0000 0.2500 (multiplicity 2)
H2 0.3333 0.6667 0.5943 (multiplicity 4)

***

Diffraction record for Pu3H. The powder diffraction line list is simulated, not measured: it uses a GGA-PBE-relaxed structure and Cu Ka.

Peak list (10 most intense, 5° ≤ 2θ ≤ 70°, low angle first)
(hkl)	2theta	Rel. int.
1 1 0	29.55	18
1 0 1	31.67	45
2 0 0	34.25	33
2 0 1	43.86	100
2 1 0	45.86	19
3 0 0	52.43	6
0 0 2	54.70	13
3 0 1	59.72	10
2 2 0	61.34	21
2 0 2	66.15	10

Cell and atoms:
Lattice parameters (Å, degrees): 6.0457 6.0457 3.3558 90.00 90.00 120.00
Space group P6_3/mmc (No. 194)
One atom of each set of equivalent atoms:
Pu1 0.1834 0.3667 0.2500 (multiplicity 6)
H1 0.3333 0.6667 0.7500 (multiplicity 2)

***

Diffraction record for Rb3ZnH5. The powder diffraction line list is simulated, not measured: it uses a GGA-PBE-relaxed structure and Cu Ka.

Peak list (10 most intense, 5° ≤ 2θ ≤ 70°, low angle first)
(hkl)	2theta	Rel. int.
2 1 1	26.13	41
2 0 2	27.08	100
0 0 4	30.57	27
2 2 0	31.75	25
2 1 3	34.08	23
2 2 4	44.66	19
4 1 1	47.67	18
4 0 2	48.25	9
2 0 6	52.24	16
4 1 3	52.86	10

Cell and atoms:
Lattice parameters (Å, degrees): 7.971 7.971 11.696 90.00 90.00 90.00
Space group I4/mcm (No. 140)
One atom of each set of equivalent atoms:
Rb1 0.000 0.000 0.250 (multiplicity 4)
Rb2 0.181 0.319 0.000 (multiplicity 8)
Zn1 0.000 0.500 0.250 (multiplicity 4)
H1 0.000 0.000 0.000 (multiplicity 4)
H2 0.120 0.380 0.335 (multiplicity 16)